1.
This entry pairs a crystal structure of AgSbO3 with its calculated powder diffraction line list. Radiation: Cu Kα (λ = 1.5418 Å). Structure: a structure optimized by DFT (PBE).
No peak broadening, texture or thermal motion is included.

Atomic structure:
Unit cell a=10.307 b=10.307 c=10.307 alpha=90.00 beta=90.00 gamma=90.00
Space group Fd-3m (No. 227, origin choice 2)
Unique sites:
Ag1 0.000 0.000 0.000 (multiplicity 16)
Sb1 0.000 0.000 0.500 (multiplicity 16)
O1 0.076 0.375 0.875 (multiplicity 48)

Most intense lines, 10 to 90 degrees two-theta, in order of rising 2θ:
hkl 1 1 1, d = 5.951 Å, I = 2.6; hkl 2 2 0, d = 3.644 Å, I = 0.6; hkl 2 2 2, d = 2.975 Å, I = 100.0; hkl 4 0 0, d = 2.577 Å, I = 34.9; hkl 4 2 2, d = 2.104 Å, I = 0.8; hkl 3 3 3, d = 1.984 Å, I = 0.8; hkl 4 4 0, d = 1.822 Å, I = 42.7; hkl 6 2 2, d = 1.554 Å, I = 40.8; hkl 4 4 4, d = 1.488 Å, I = 10.4; hkl 8 0 0, d = 1.288 Å, I = 6.1; hkl 6 6 2, d = 1.182 Å, I = 16.4; hkl 8 4 0, d = 1.152 Å, I = 14.5

---

2.
This entry pairs a crystal structure of ScAgO3 with its calculated powder diffraction line list. Radiation: Cu Kα (λ = 1.5418 Å). Structure: a structure optimized by DFT (PBE).
No peak broadening, texture or thermal motion is included.

Atomic structure:
Unit cell a=5.635 b=7.918 c=5.276 alpha=90.00 beta=90.00 gamma=90.00
Space group Pnma (No. 62)
Unique sites:
Sc1 0.000 0.000 0.000 (multiplicity 4)
Ag1 0.077 0.250 0.479 (multiplicity 4)
O1 0.075 0.750 0.147 (multiplicity 4)
O2 0.198 0.579 0.691 (multiplicity 8)

Most intense lines, 10 to 90 degrees two-theta, in order of rising 2θ:
hkl 0 2 0, d = 3.959 Å, I = 15.3; hkl 1 0 1, d = 3.852 Å, I = 15.2; hkl 1 1 1, d = 3.464 Å, I = 27.2; hkl 2 0 0, d = 2.818 Å, I = 12.6; hkl 1 2 1, d = 2.761 Å, I = 100.0; hkl 0 0 2, d = 2.638 Å, I = 19.3; hkl 1 3 1, d = 2.177 Å, I = 12.9; hkl 0 4 0, d = 1.980 Å, I = 13.3; hkl 2 0 2, d = 1.926 Å, I = 23.4; hkl 2 1 2, d = 1.871 Å, I = 17.3; hkl 3 1 1, d = 1.727 Å, I = 20.0; hkl 1 2 3, d = 1.546 Å, I = 20.7

---

3.
This entry pairs a crystal structure of ScAgTeO with its calculated powder diffraction line list. Radiation: Cu Kα (λ = 1.5418 Å). Structure: a structure optimized by DFT (PBE).
No peak broadening, texture or thermal motion is included.

Atomic structure:
Unit cell a=5.479 b=9.883 c=5.491 alpha=90.00 beta=90.00 gamma=90.00
Space group Pcca (No. 54)
Unique sites:
Sc1 0.000 0.094 0.250 (multiplicity 4)
Ag1 0.250 0.500 0.029 (multiplicity 4)
Te1 0.000 0.277 0.750 (multiplicity 4)
O1 0.250 0.000 0.001 (multiplicity 4)

Most intense lines, 10 to 90 degrees two-theta, in order of rising 2θ:
hkl 1 1 1, d = 3.610 Å, I = 55.2; hkl 1 2 1, d = 3.051 Å, I = 27.0; hkl 2 1 0, d = 2.642 Å, I = 30.6; hkl 1 3 1, d = 2.511 Å, I = 51.6; hkl 0 4 0, d = 2.471 Å, I = 20.0; hkl 2 2 0, d = 2.398 Å, I = 100.0; hkl 2 3 0, d = 2.108 Å, I = 28.1; hkl 2 0 2, d = 1.939 Å, I = 42.6; hkl 3 3 1, d = 1.535 Å, I = 21.5; hkl 2 4 2, d = 1.525 Å, I = 15.7; hkl 2 6 0, d = 1.412 Å, I = 17.7; hkl 2 5 2, d = 1.384 Å, I = 17.1

---

4.
This entry pairs a crystal structure of ScAgTeO with its calculated powder diffraction line list. Radiation: Cu Kα (λ = 1.5418 Å). Structure: a structure optimized by DFT (PBE).
No peak broadening, texture or thermal motion is included.

Atomic structure:
Unit cell a=5.456 b=5.469 c=9.966 alpha=90.00 beta=90.00 gamma=90.00
Space group Pba2 (No. 32)
Unique sites:
Sc1 0.000 0.000 0.000 (multiplicity 2)
Sc2 0.000 0.500 0.188 (multiplicity 2)
Ag1 0.199 0.189 0.600 (multiplicity 4)
Te1 0.000 0.000 0.366 (multiplicity 2)
Te2 0.000 0.500 0.815 (multiplicity 2)
O1 0.249 0.249 0.092 (multiplicity 4)

Most intense lines, 10 to 90 degrees two-theta, in order of rising 2θ:
hkl 1 1 1, d = 3.601 Å, I = 68.6; hkl 1 1 2, d = 3.053 Å, I = 31.0; hkl 2 0 1, d = 2.634 Å, I = 24.1; hkl 1 1 3, d = 2.519 Å, I = 68.9; hkl 0 0 4, d = 2.492 Å, I = 26.0; hkl 2 0 2, d = 2.395 Å, I = 100.0; hkl 1 2 1, d = 2.373 Å, I = 22.1; hkl 2 0 3, d = 2.110 Å, I = 22.9; hkl 0 0 5, d = 1.993 Å, I = 17.8; hkl 2 2 0, d = 1.931 Å, I = 38.7; hkl 3 1 3, d = 1.533 Å, I = 26.6; hkl 2 0 6, d = 1.419 Å, I = 20.9

---

5.
This entry pairs a crystal structure of ScAgTeO with its calculated powder diffraction line list. Radiation: Cu Kα (λ = 1.5418 Å). Structure: a structure optimized by DFT (PBE).
No peak broadening, texture or thermal motion is included.

Atomic structure:
Unit cell a=3.883 b=3.883 c=9.859 alpha=90.00 beta=90.00 gamma=90.00
Space group P4mm (No. 99)
Unique sites:
Sc1 0.000 0.000 0.000 (multiplicity 1)
Sc2 0.500 0.500 0.189 (multiplicity 1)
Ag1 0.000 0.500 0.595 (multiplicity 2)
Te1 0.000 0.000 0.373 (multiplicity 1)
Te2 0.500 0.500 0.817 (multiplicity 1)
O1 0.000 0.500 0.094 (multiplicity 2)

Most intense lines, 10 to 90 degrees two-theta, in order of rising 2θ:
hkl 1 0 1, d = 3.613 Å, I = 53.6; hkl 1 0 2, d = 3.050 Å, I = 26.7; hkl 1 1 1, d = 2.645 Å, I = 31.5; hkl 1 0 3, d = 2.508 Å, I = 49.5; hkl 0 0 4, d = 2.465 Å, I = 19.0; hkl 1 1 2, d = 2.399 Å, I = 100.0; hkl 1 1 3, d = 2.107 Å, I = 29.1; hkl 2 0 0, d = 1.941 Å, I = 43.7; hkl 2 1 3, d = 1.535 Å, I = 20.7; hkl 1 1 6, d = 1.410 Å, I = 17.2; hkl 2 0 5, d = 1.383 Å, I = 17.8; hkl 3 1 2, d = 1.191 Å, I = 19.9

---

6.
This entry pairs a crystal structure of TaAgSe2O7 with its calculated powder diffraction line list. Radiation: Cu Kα (λ = 1.5418 Å). Structure: a structure optimized by DFT (PBE).
No peak broadening, texture or thermal motion is included.

Atomic structure:
Unit cell a=10.641 b=7.753 c=7.297 alpha=90.00 beta=90.00 gamma=90.00
Space group Cmcm (No. 63)
Unique sites:
Ta1 0.000 0.000 0.000 (multiplicity 4)
Ag1 0.000 0.500 0.000 (multiplicity 4)
Se1 0.217 0.265 0.250 (multiplicity 8)
O1 0.000 0.085 0.750 (multiplicity 4)
O2 0.133 0.172 0.063 (multiplicity 16)
O3 0.149 0.462 0.250 (multiplicity 8)

Most intense lines, 10 to 90 degrees two-theta, in order of rising 2θ:
hkl 1 1 0, d = 6.266 Å, I = 16.8; hkl 2 0 0, d = 5.320 Å, I = 18.9; hkl 2 2 0, d = 3.133 Å, I = 100.0; hkl 2 0 2, d = 3.009 Å, I = 84.5; hkl 3 1 1, d = 2.950 Å, I = 14.9; hkl 0 2 2, d = 2.658 Å, I = 66.3; hkl 0 4 0, d = 1.939 Å, I = 13.1; hkl 4 2 2, d = 1.880 Å, I = 44.9; hkl 0 0 4, d = 1.824 Å, I = 15.5; hkl 2 4 2, d = 1.629 Å, I = 29.1; hkl 2 2 4, d = 1.577 Å, I = 25.2; hkl 4 4 0, d = 1.567 Å, I = 13.1

---

7.
This entry pairs a crystal structure of Si2Ag6O7 with its calculated powder diffraction line list. Radiation: Cu Kα (λ = 1.5418 Å). Structure: a structure optimized by DFT (PBE).
No peak broadening, texture or thermal motion is included.

Atomic structure:
Unit cell a=12.832 b=9.784 c=10.654 alpha=90.00 beta=106.29 gamma=90.00
Space group C2/m (No. 12)
Unique sites:
Si1 0.107 0.000 0.126 (multiplicity 4)
Si2 0.154 0.500 0.875 (multiplicity 4)
Si3 0.197 0.000 0.612 (multiplicity 4)
Ag1 0.009 0.154 0.340 (multiplicity 8)
Ag2 0.040 0.500 0.372 (multiplicity 4)
Ag3 0.083 0.359 0.146 (multiplicity 8)
Ag4 0.185 0.180 0.867 (multiplicity 8)
Ag5 0.224 0.323 0.624 (multiplicity 8)
O1 0.000 0.000 0.000 (multiplicity 2)
O2 0.111 0.360 0.930 (multiplicity 8)
O3 0.113 0.137 0.214 (multiplicity 8)
O4 0.121 0.137 0.565 (multiplicity 8)
O5 0.127 0.500 0.715 (multiplicity 4)
O6 0.206 0.500 0.461 (multiplicity 4)
O7 0.211 0.000 0.062 (multiplicity 4)
O8 0.247 0.000 0.775 (multiplicity 4)

Most intense lines, 10 to 90 degrees two-theta, in order of rising 2θ:
hkl 1 3 -1, d = 3.076 Å, I = 32.0; hkl 1 3 -2, d = 2.774 Å, I = 100.0; hkl 4 0 1, d = 2.744 Å, I = 93.1; hkl 4 0 -3, d = 2.691 Å, I = 81.8; hkl 1 3 2, d = 2.602 Å, I = 44.4; hkl 3 3 -1, d = 2.586 Å, I = 56.7; hkl 0 0 4, d = 2.557 Å, I = 81.1; hkl 3 3 -3, d = 2.238 Å, I = 32.7; hkl 5 3 -1, d = 2.016 Å, I = 22.0; hkl 3 3 3, d = 1.892 Å, I = 31.5; hkl 0 6 0, d = 1.631 Å, I = 24.3; hkl 0 6 4, d = 1.375 Å, I = 19.0

---

8.
This entry pairs a crystal structure of Si2Ag6O7 with its calculated powder diffraction line list. Radiation: Cu Kα (λ = 1.5418 Å). Structure: a structure optimized by DFT (PBE).
No peak broadening, texture or thermal motion is included.

Atomic structure:
Unit cell a=8.006 b=5.274 c=10.619 alpha=90.00 beta=115.20 gamma=90.00
Space group P2/c (No. 13)
Unique sites:
Si1 0.200 0.244 0.363 (multiplicity 4)
Ag1 0.067 0.225 0.609 (multiplicity 4)
Ag2 0.313 0.187 0.102 (multiplicity 4)
Ag3 0.444 0.246 0.860 (multiplicity 4)
O1 0.000 0.363 0.250 (multiplicity 2)
O2 0.183 0.069 0.868 (multiplicity 4)
O3 0.247 0.367 0.517 (multiplicity 4)
O4 0.359 0.323 0.313 (multiplicity 4)

Most intense lines, 10 to 90 degrees two-theta, in order of rising 2θ:
hkl 1 0 -2, d = 5.136 Å, I = 15.5; hkl 0 1 1, d = 4.623 Å, I = 12.0; hkl 2 1 -3, d = 2.709 Å, I = 93.9; hkl 0 2 0, d = 2.638 Å, I = 60.2; hkl 2 1 1, d = 2.604 Å, I = 100.0; hkl 0 0 4, d = 2.402 Å, I = 36.1; hkl 3 1 -1, d = 2.346 Å, I = 13.6; hkl 4 0 -2, d = 1.999 Å, I = 27.4; hkl 0 2 4, d = 1.776 Å, I = 21.5; hkl 4 2 -2, d = 1.593 Å, I = 17.0; hkl 2 3 1, d = 1.516 Å, I = 13.8; hkl 2 1 5, d = 1.407 Å, I = 12.7

---

9.
This entry pairs a crystal structure of SiAg2O3 with its calculated powder diffraction line list. Radiation: Cu Kα (λ = 1.5418 Å). Structure: a structure optimized by DFT (PBE).
No peak broadening, texture or thermal motion is included.

Atomic structure:
Unit cell a=4.562 b=7.075 c=10.000 alpha=90.00 beta=90.00 gamma=90.00
Space group P2_12_12_1 (No. 19)
Unique sites:
Si1 0.052 0.141 0.063 (multiplicity 4)
Ag1 0.022 0.594 0.779 (multiplicity 4)
Ag2 0.100 0.633 0.117 (multiplicity 4)
O1 0.088 0.435 0.463 (multiplicity 4)
O2 0.197 0.811 0.448 (multiplicity 4)
O3 0.205 0.153 0.212 (multiplicity 4)

Most intense lines, 10 to 90 degrees two-theta, in order of rising 2θ:
hkl 0 1 1, d = 5.776 Å, I = 15.9; hkl 0 0 2, d = 5.000 Å, I = 13.2; hkl 0 1 3, d = 3.015 Å, I = 16.2; hkl 1 2 0, d = 2.796 Å, I = 82.2; hkl 1 0 3, d = 2.692 Å, I = 100.0; hkl 1 1 3, d = 2.516 Å, I = 36.0; hkl 1 2 2, d = 2.440 Å, I = 18.4; hkl 0 2 3, d = 2.426 Å, I = 38.7; hkl 2 2 2, d = 1.790 Å, I = 14.7; hkl 2 2 3, d = 1.662 Å, I = 15.7; hkl 1 4 3, d = 1.478 Å, I = 12.8; hkl 2 4 1, d = 1.384 Å, I = 13.8

---

- What is the formula in the first record?
  AgSbO3

---

Please write out number 1 again, unchanged.
This entry pairs a crystal structure of AgSbO3 with its calculated powder diffraction line list. Radiation: Cu Kα (λ = 1.5418 Å). Structure: a structure optimized by DFT (PBE).
No peak broadening, texture or thermal motion is included.

Atomic structure:
Unit cell a=10.307 b=10.307 c=10.307 alpha=90.00 beta=90.00 gamma=90.00
Space group Fd-3m (No. 227, origin choice 2)
Unique sites:
Ag1 0.000 0.000 0.000 (multiplicity 16)
Sb1 0.000 0.000 0.500 (multiplicity 16)
O1 0.076 0.375 0.875 (multiplicity 48)

Most intense lines, 10 to 90 degrees two-theta, in order of rising 2θ:
hkl 1 1 1, d = 5.951 Å, I = 2.6; hkl 2 2 0, d = 3.644 Å, I = 0.6; hkl 2 2 2, d = 2.975 Å, I = 100.0; hkl 4 0 0, d = 2.577 Å, I = 34.9; hkl 4 2 2, d = 2.104 Å, I = 0.8; hkl 3 3 3, d = 1.984 Å, I = 0.8; hkl 4 4 0, d = 1.822 Å, I = 42.7; hkl 6 2 2, d = 1.554 Å, I = 40.8; hkl 4 4 4, d = 1.488 Å, I = 10.4; hkl 8 0 0, d = 1.288 Å, I = 6.1; hkl 6 6 2, d = 1.182 Å, I = 16.4; hkl 8 4 0, d = 1.152 Å, I = 14.5